# LiMgBiBr6
Theoretical powder X-ray diffraction pattern, a wavelength of 1.5418 Å. Input: a cell relaxed with PBE.
Intensities are scaled so that the largest is 100.

The 10 most intense peaks (2θ from 5° to 70°), sorted by position:
d [Å], intensity, h k l
6.393, 22, 0 0 2
6.069, 18, 1 0 0
5.483, 29, 1 0 1
4.402, 16, 1 0 2
3.488, 19, 1 0 3
3.073, 100, 1 1 2
2.361, 56, 1 1 4
2.023, 40, 3 0 0
1.821, 22, 2 -1 6
1.690, 16, 4 -2 2

Atomic structure:
Unit cell a=7.0084 b=7.0084 c=12.7864 alpha=90.00 beta=90.00 gamma=120.00
Space group P-31c (No. 163)
Symmetry-distinct sites (fractional):
Li (0.0000, 0.0000, 0.0000) x2
Mg (0.3333, 0.6667, 0.2500) x2
Bi (0.3333, 0.6667, 0.7500) x2
Br (0.0207, 0.3525, 0.1261) x12